This entry pairs a crystal structure of VH6C2ClO3 with its simulated X-ray powder pattern. Radiation: Cu Kα (λ = 1.5418 Å). Structure: DFT lattice parameters and positions (PBE+U).
Kinematic intensities with the Lorentz-polarization factor, no thermal factor.

Principal peaks in the range 2θ = 5–70°, low angle first:
2θ (°)	d/Å	I/Imax
13.6	6.519	92.7
14.8	5.980	100.0
18.9	4.687	24.9
21.0	4.224	32.8
22.0	4.035	37.3
24.1	3.690	33.1

Structural model:
a b c (Å): 6.3051 6.6077 8.8745
angles (deg): 83.34 72.73 81.67
Space group P-1 (No. 2)
Asymmetric unit:
V  0.0021  0.0115  0.2058 [2 per cell]
H  0.2475  0.4036  0.9591 [2 per cell]
H  0.2834  0.6267  0.6051 [2 per cell]
H  0.4118  0.2234  0.0584 [2 per cell]
H  0.4241  0.8348  0.4891 [2 per cell]
H  0.4393  0.2037  0.8531 [2 per cell]
H  0.4510  0.3269  0.3763 [2 per cell]
C  0.3220  0.2431  0.9677 [2 per cell]
C  0.3902  0.7448  0.6041 [2 per cell]
Cl  0.0496  0.6743  0.2647 [2 per cell]
O  0.1264  0.1021  0.3132 [2 per cell]
O  0.1503  0.1103  0.0085 [2 per cell]
O  0.2812  0.8764  0.7281 [2 per cell]